[1]
The following is a theoretical powder diffractogram of Hg8H. It was derived from a cell relaxed with PBE, using λ = 1.5418 Å (Cu Kα).
Kinematic intensities with the Lorentz-polarization factor, no thermal factor.

Crystal structure
Cell lengths 6.7722, 6.7722, 5.5512 Å; angles 90.00, 90.00, 120.00 degrees
Space group P-3m1 (No. 164)
Asymmetric unit:
1 Hg 0.1696 0.3392 0.2358
2 Hg 0.3333 0.6667 0.7191
3 H 0.0000 0.0000 0.5000

The 10 most intense peaks (2θ from 15° to 90°), by angle:
- 30.48 deg, d 2.932, rel. 23, (2 0 0)
- 32.25 deg, d 2.776, rel. 25, (0 0 2)
- 34.59 deg, d 2.593, rel. 100, (2 0 1)
- 44.97 deg, d 2.016, rel. 16, (0 2 2)
- 54.17 deg, d 1.693, rel. 19, (2 2 0)
- 59.03 deg, d 1.565, rel. 19, (2 0 3)
- 64.47 deg, d 1.445, rel. 21, (2 2 2)
- 65.89 deg, d 1.418, rel. 16, (0 4 1)
- 72.97 deg, d 1.296, rel. 4, (4 0 2)
- 84.26 deg, d 1.149, rel. 7, (0 4 3)

[2]
The following is a theoretical powder diffractogram of Ba2Li3ScH12. It was derived from a cell relaxed with PBE, using λ = 1.5418 Å (Cu Kα).
Kinematic intensities with the Lorentz-polarization factor, no thermal factor.

Crystal structure
Cell lengths 6.2540, 6.2540, 18.1089 Å; angles 90.00, 90.00, 120.00 degrees
Space group R-3m (No. 166, hexagonal axes)
Asymmetric unit:
1 Ba 0.0000 0.0000 0.1070
2 Li 0.0000 0.5000 0.0000
3 Sc 0.0000 0.0000 0.5000
4 H 0.0112 0.5056 0.1129
5 H 0.0232 0.5116 0.6674

The 10 most intense peaks (2θ from 15° to 90°), by angle:
- 17.09 deg, d 5.189, rel. 91, (1 0 1)
- 19.09 deg, d 4.648, rel. 32, (0 1 2)
- 25.65 deg, d 3.474, rel. 54, (1 0 4)
- 28.55 deg, d 3.127, rel. 100, (1 1 0)
- 29.67 deg, d 3.011, rel. 97, (0 1 5)
- 32.24 deg, d 2.777, rel. 45, (1 1 3)
- 33.46 deg, d 2.678, rel. 24, (0 2 1)
- 41.63 deg, d 2.170, rel. 48, (2 0 5)
- 50.56 deg, d 1.805, rel. 20, (3 0 0)
- 51.26 deg, d 1.782, rel. 40, (1 2 5)

[3]
The following is a theoretical powder diffractogram of PuMgTlCl6. It was derived from a cell relaxed with PBE, using λ = 1.5418 Å (Cu Kα).
Kinematic intensities with the Lorentz-polarization factor, no thermal factor.

Crystal structure
Cell lengths 6.9347, 6.9347, 13.8855 Å; angles 90.00, 90.00, 120.00 degrees
Space group P-31c (No. 163)
Asymmetric unit:
1 Pu 0.3333 0.6667 0.2500
2 Mg 0.3333 0.6667 0.7500
3 Tl 0.0000 0.0000 0.0000
4 Cl 0.0214 0.3819 0.6449

The 10 most intense peaks (2θ from 15° to 90°), by angle:
- 16.08 deg, d 5.512, rel. 36, (1 0 1)
- 19.54 deg, d 4.542, rel. 100, (1 0 2)
- 24.28 deg, d 3.666, rel. 18, (1 0 3)
- 25.69 deg, d 3.468, rel. 34, (1 1 0)
- 32.49 deg, d 2.756, rel. 25, (2 0 2)
- 36.63 deg, d 2.453, rel. 56, (1 1 4)
- 41.86 deg, d 2.158, rel. 41, (2 1 2)
- 45.30 deg, d 2.002, rel. 20, (3 0 0)
- 56.83 deg, d 1.620, rel. 25, (4 -1 2)
- 59.59 deg, d 1.551, rel. 21, (4 -2 4)

[4]
The following is a theoretical powder diffractogram of Yb5Pd2. It was derived from a cell relaxed with PBE, using λ = 1.5418 Å (Cu Kα).
Kinematic intensities with the Lorentz-polarization factor, no thermal factor.

Crystal structure
Cell lengths 16.1486, 6.4724, 7.6065 Å; angles 90.00, 97.49, 90.00 degrees
Space group C2/c (No. 15)
Asymmetric unit:
1 Yb 0.0000 0.0881 0.2500
2 Yb 0.0912 0.3835 0.9222
3 Yb 0.2190 0.0849 0.3152
4 Pd 0.1095 0.2027 0.5798

The 10 most intense peaks (2θ from 15° to 90°), by angle:
- 27.31 deg, d 3.265, rel. 49, (1 1 -2)
- 30.05 deg, d 2.974, rel. 93, (0 2 1)
- 30.37 deg, d 2.943, rel. 47, (4 0 -2)
- 30.49 deg, d 2.932, rel. 53, (3 1 -2)
- 31.16 deg, d 2.870, rel. 100, (5 1 0)
- 32.66 deg, d 2.742, rel. 60, (2 2 1)
- 33.81 deg, d 2.651, rel. 53, (3 1 2)
- 34.73 deg, d 2.583, rel. 97, (4 0 2)
- 36.71 deg, d 2.448, rel. 45, (4 2 -1)
- 38.13 deg, d 2.360, rel. 68, (1 1 -3)

[5]
The following is a theoretical powder diffractogram of PmCo5H11. It was derived from a cell relaxed with PBE, using λ = 1.5418 Å (Cu Kα).
Kinematic intensities with the Lorentz-polarization factor, no thermal factor.

Crystal structure
Cell lengths 8.0223, 7.6829, 4.6714 Å; angles 90.00, 122.03, 90.00 degrees
Space group C2/m (No. 12)
Asymmetric unit:
1 Pm 0.0000 0.0000 0.0000
2 Co 0.0000 0.5000 0.0000
3 Co 0.2073 0.1751 0.7063
4 H 0.0000 0.0000 0.5000
5 H 0.1059 0.2613 0.3282
6 H 0.1933 0.3609 0.8838
7 H 0.2227 0.5000 0.4110

The 10 most intense peaks (2θ from 15° to 90°), by angle:
- 17.41 deg, d 5.092, rel. 66, (1 1 0)
- 32.47 deg, d 2.757, rel. 69, (0 2 1)
- 33.44 deg, d 2.680, rel. 62, (2 2 -1)
- 33.74 deg, d 2.657, rel. 32, (1 1 1)
- 35.25 deg, d 2.546, rel. 100, (2 2 0)
- 38.62 deg, d 2.331, rel. 70, (2 0 -2)
- 40.17 deg, d 2.245, rel. 66, (1 3 -1)
- 43.30 deg, d 2.090, rel. 37, (2 0 1)
- 45.55 deg, d 1.992, rel. 35, (4 0 -1)
- 51.95 deg, d 1.760, rel. 33, (0 2 2)

[6]
The following is a theoretical powder diffractogram of Ti4CuN2. It was derived from a cell relaxed with PBE, using λ = 1.5418 Å (Cu Kα).
Kinematic intensities with the Lorentz-polarization factor, no thermal factor.

Crystal structure
Cell lengths 3.0671, 10.2917, 10.8212 Å; angles 90.00, 90.00, 90.00 degrees
Space group Cmcm (No. 63)
Asymmetric unit:
1 Ti 0.0000 0.0000 0.0000
2 Ti 0.0000 0.2595 0.1052
3 Ti 0.0000 0.4206 0.7500
4 Cu 0.0000 0.1138 0.7500
5 N 0.0000 0.3666 0.5606

The 10 most intense peaks (2θ from 15° to 90°), by angle:
- 37.56 deg, d 2.395, rel. 59, (0 2 4)
- 38.75 deg, d 2.324, rel. 38, (0 4 2)
- 39.55 deg, d 2.279, rel. 70, (1 1 3)
- 40.32 deg, d 2.237, rel. 100, (1 3 1)
- 42.94 deg, d 2.106, rel. 34, (1 3 2)
- 48.85 deg, d 1.864, rel. 14, (0 4 4)
- 52.51 deg, d 1.743, rel. 15, (1 1 5)
- 60.36 deg, d 1.534, rel. 19, (2 0 0)
- 73.31 deg, d 1.291, rel. 14, (2 2 4)
- 74.04 deg, d 1.280, rel. 28, (1 3 7)

[7]
The following is a theoretical powder diffractogram of Pr6HRh2Br3. It was derived from a cell relaxed with PBE, using λ = 1.5418 Å (Cu Kα).
Kinematic intensities with the Lorentz-polarization factor, no thermal factor.

Crystal structure
Cell lengths 7.0951, 12.2219, 8.2011 Å; angles 90.00, 106.85, 90.00 degrees
Space group C2/m (No. 12)
Asymmetric unit:
1 Pr 0.2306 0.1659 0.1956
2 Pr 0.2327 0.5000 0.1975
3 H 0.0000 0.0000 0.0000
4 Rh 0.0000 0.3337 0.0000
5 Br 0.0000 0.1691 0.5000
6 Br 0.0000 0.5000 0.5000

The 10 most intense peaks (2θ from 15° to 90°), by angle:
- 26.30 deg, d 3.388, rel. 18, (1 3 -1)
- 29.37 deg, d 3.041, rel. 52, (2 0 -2)
- 29.50 deg, d 3.028, rel. 100, (1 3 1)
- 31.63 deg, d 2.829, rel. 20, (2 0 1)
- 39.84 deg, d 2.263, rel. 43, (1 3 -3)
- 44.29 deg, d 2.045, rel. 37, (3 3 -1)
- 44.48 deg, d 2.037, rel. 18, (0 6 0)
- 49.79 deg, d 1.831, rel. 14, (2 0 3)
- 54.20 deg, d 1.692, rel. 18, (2 6 -2)
- 57.19 deg, d 1.611, rel. 14, (1 3 4)

[8]
The following is a theoretical powder diffractogram of InSnPb6. It was derived from a cell relaxed with PBE, using λ = 1.5418 Å (Cu Kα).
Kinematic intensities with the Lorentz-polarization factor, no thermal factor.

Crystal structure
Cell lengths 8.4408, 9.7032, 6.2494 Å; angles 90.00, 99.52, 90.00 degrees
Space group C2/m (No. 12)
Asymmetric unit:
1 In 0.0000 0.0000 0.0000
2 Sn 0.0000 0.0000 0.5000
3 Pb 0.1399 0.5000 0.7273
4 Pb 0.1949 0.3143 0.2362

The 10 most intense peaks (2θ from 15° to 90°), by angle:
- 21.35 deg, d 4.162, rel. 22, (2 0 0)
- 28.25 deg, d 3.159, rel. 38, (2 2 0)
- 28.97 deg, d 3.082, rel. 46, (0 0 2)
- 30.13 deg, d 2.966, rel. 46, (2 2 -1)
- 32.26 deg, d 2.775, rel. 90, (1 3 -1)
- 33.19 deg, d 2.699, rel. 46, (2 0 -2)
- 33.46 deg, d 2.678, rel. 44, (2 2 1)
- 33.59 deg, d 2.668, rel. 52, (3 1 0)
- 33.89 deg, d 2.645, rel. 100, (1 3 1)
- 52.35 deg, d 1.748, rel. 39, (1 3 -3)

[9]
The following is a theoretical powder diffractogram of NaGdCdHg. It was derived from a cell relaxed with PBE, using λ = 1.5418 Å (Cu Kα).
Kinematic intensities with the Lorentz-polarization factor, no thermal factor.

Crystal structure
Cell lengths 7.4093, 7.4093, 7.4093 Å; angles 90.00, 90.00, 90.00 degrees
Space group F-43m (No. 216)
Asymmetric unit:
1 Na 0.0000 0.0000 0.0000
2 Gd 0.0000 0.0000 0.5000
3 Cd 0.2500 0.2500 0.2500
4 Hg 0.2500 0.2500 0.7500

The 10 most intense peaks (2θ from 15° to 90°), by angle:
- 20.76 deg, d 4.278, rel. 22, (1 1 1)
- 24.02 deg, d 3.705, rel. 9, (2 0 0)
- 34.23 deg, d 2.620, rel. 100, (2 2 0)
- 40.37 deg, d 2.234, rel. 13, (3 1 1)
- 49.19 deg, d 1.852, rel. 18, (4 0 0)
- 53.94 deg, d 1.700, rel. 6, (3 3 1)
- 61.29 deg, d 1.512, rel. 37, (4 2 2)
- 72.11 deg, d 1.310, rel. 11, (4 4 0)
- 75.98 deg, d 1.252, rel. 4, (5 3 1)
- 82.30 deg, d 1.172, rel. 16, (6 2 0)

[10]
The following is a theoretical powder diffractogram of ScZn11Pt. It was derived from a cell relaxed with PBE, using λ = 1.5418 Å (Cu Kα).
Kinematic intensities with the Lorentz-polarization factor, no thermal factor.

Crystal structure
Cell lengths 5.1832, 12.5340, 6.6967 Å; angles 90.00, 111.79, 90.00 degrees
Space group C2/m (No. 12)
Asymmetric unit:
1 Sc 0.0000 0.0000 0.0000
2 Zn 0.0000 0.5000 0.5000
3 Zn 0.1021 0.3929 0.2099
4 Zn 0.1666 0.1749 0.3502
5 Zn 0.2500 0.2500 0.0000
6 Pt 0.0000 0.0000 0.5000

The 10 most intense peaks (2θ from 15° to 90°), by angle:
- 19.97 deg, d 4.446, rel. 29, (1 1 -1)
- 20.12 deg, d 4.414, rel. 45, (0 2 1)
- 35.25 deg, d 2.546, rel. 28, (1 3 -2)
- 40.14 deg, d 2.246, rel. 40, (2 2 0)
- 40.59 deg, d 2.223, rel. 100, (2 2 -2)
- 40.89 deg, d 2.207, rel. 61, (0 4 2)
- 45.17 deg, d 2.007, rel. 24, (2 0 1)
- 45.42 deg, d 1.997, rel. 45, (2 4 -1)
- 45.82 deg, d 1.980, rel. 28, (0 6 1)
- 46.15 deg, d 1.967, rel. 42, (0 2 3)

[11]
The following is a theoretical powder diffractogram of PuZr2F11. It was derived from a cell relaxed with PBE, using λ = 1.5418 Å (Cu Kα).
Kinematic intensities with the Lorentz-polarization factor, no thermal factor.

Crystal structure
Cell lengths 7.8979, 10.1932, 11.0753 Å; angles 90.00, 90.00, 90.00 degrees
Space group Ibam (No. 72)
Asymmetric unit:
1 Pu 0.0000 0.0000 0.2500
2 Zr 0.1343 0.3186 0.0000
3 F 0.0000 0.5000 0.0000
4 F 0.1045 0.1817 0.1362
5 F 0.1279 0.2807 0.5000
6 F 0.2348 0.0788 0.3690

The 10 most intense peaks (2θ from 15° to 90°), by angle:
- 21.45 deg, d 4.143, rel. 100, (1 1 2)
- 23.73 deg, d 3.750, rel. 54, (0 2 2)
- 25.49 deg, d 3.494, rel. 20, (2 1 1)
- 27.75 deg, d 3.215, rel. 14, (2 0 2)
- 28.60 deg, d 3.121, rel. 31, (1 3 0)
- 32.94 deg, d 2.719, rel. 17, (2 2 2)
- 43.70 deg, d 2.071, rel. 42, (1 3 4)
- 46.62 deg, d 1.948, rel. 23, (3 3 2)
- 48.55 deg, d 1.875, rel. 16, (3 1 4)
- 48.99 deg, d 1.860, rel. 27, (4 0 2)

[12]
The following is a theoretical powder diffractogram of KSm2F7. It was derived from a cell relaxed with PBE, using λ = 1.5418 Å (Cu Kα).
Kinematic intensities with the Lorentz-polarization factor, no thermal factor.

Crystal structure
Cell lengths 4.0970, 4.0970, 34.8467 Å; angles 90.00, 90.00, 120.00 degrees
Space group R-3m (No. 166, hexagonal axes)
Asymmetric unit:
1 K 0.0000 0.0000 0.0000
2 Sm 0.0000 0.0000 0.4350
3 F 0.0000 0.0000 0.0875
4 F 0.0000 0.0000 0.2193
5 F 0.0000 0.0000 0.3712
6 F 0.0000 0.0000 0.5000

The 10 most intense peaks (2θ from 15° to 90°), by angle:
- 15.26 deg, d 5.808, rel. 90, (0 0 6)
- 22.97 deg, d 3.872, rel. 68, (0 0 9)
- 25.23 deg, d 3.530, rel. 98, (1 0 1)
- 25.62 deg, d 3.477, rel. 100, (0 1 2)
- 28.22 deg, d 3.162, rel. 41, (0 1 5)
- 30.95 deg, d 2.889, rel. 43, (1 0 7)
- 32.55 deg, d 2.751, rel. 38, (0 1 8)
- 44.21 deg, d 2.048, rel. 84, (1 1 0)
- 44.46 deg, d 2.038, rel. 49, (0 1 14)
- 50.40 deg, d 1.811, rel. 48, (1 1 9)